The following is a simulated powder XRD pattern of CaSm2RhO5. It was derived from a structure optimized by DFT (PBE), using Cu Kα (λ = 1.5418 Å).
Intensities are scaled so that the largest is 100.

Peak list (8 most intense, 2θ = 10–90°, sorted by position)
2θ (°), intensity
15.23, 41
18.90, 36
30.09, 33
30.74, 45
31.02, 100
33.89, 84
43.56, 62
45.95, 36

Unit cell a=6.640 b=6.640 c=5.816 alpha=90.00 beta=90.00 gamma=90.00
Fractional positions:
Ca 0.000 0.000 0.000
Ca 0.500 0.500 0.000
Sm 0.173 0.327 0.500
Sm 0.327 0.827 0.500
Sm 0.673 0.173 0.500
Sm 0.827 0.673 0.500
Rh 0.000 0.500 0.000
Rh 0.500 0.000 0.000
O 0.000 0.000 0.500
O 0.145 0.645 0.248
O 0.145 0.645 0.752
O 0.355 0.145 0.248
O 0.355 0.145 0.752
O 0.500 0.500 0.500
O 0.645 0.855 0.248
O 0.645 0.855 0.752
O 0.855 0.355 0.248
O 0.855 0.355 0.752


The following is a simulated powder XRD pattern of Sm2Ga3Cu4Au. It was derived from a structure optimized by DFT (PBE), using Cu Kα (λ = 1.5418 Å).
Intensities are scaled so that the largest is 100.

Peak list (8 most intense, 2θ = 10–90°, sorted by position)
2θ (°), intensity
33.16, 54
35.17, 100
44.23, 46
47.63, 23
56.38, 28
64.33, 14
67.02, 16
75.49, 21

Unit cell a=4.096 b=4.096 c=10.789 alpha=90.00 beta=90.00 gamma=90.00
Fractional positions:
Sm 0.000 0.500 0.245
Sm 0.500 0.000 0.755
Ga 0.000 0.500 0.873
Ga 0.500 0.000 0.127
Ga 0.500 0.500 0.500
Cu 0.000 0.000 0.000
Cu 0.000 0.500 0.649
Cu 0.500 0.000 0.351
Cu 0.500 0.500 0.000
Au 0.000 0.000 0.500


The following is a simulated powder XRD pattern of AcSmMg17. It was derived from a structure optimized by DFT (PBE), using Cu Kα (λ = 1.5418 Å).
Intensities are scaled so that the largest is 100.

Peak list (8 most intense, 2θ = 10–90°, sorted by position)
2θ (°), intensity
11.43, 38
15.22, 32
17.12, 62
24.49, 97
29.88, 53
34.64, 54
34.77, 100
49.90, 33

Unit cell a=7.862 b=7.862 c=7.862 alpha=82.41 beta=82.41 gamma=82.41
Fractional positions:
Ac 0.000 0.000 0.000
Sm 0.664 0.664 0.664
Mg 0.033 0.337 0.631
Mg 0.033 0.631 0.337
Mg 0.184 0.682 0.682
Mg 0.238 0.238 0.238
Mg 0.330 0.330 0.837
Mg 0.330 0.837 0.330
Mg 0.337 0.033 0.631
Mg 0.337 0.631 0.033
Mg 0.435 0.435 0.435
Mg 0.501 0.979 0.979
Mg 0.631 0.033 0.337
Mg 0.631 0.337 0.033
Mg 0.682 0.184 0.682
Mg 0.682 0.682 0.184
Mg 0.837 0.330 0.330
Mg 0.979 0.501 0.979
Mg 0.979 0.979 0.501


The following is a simulated powder XRD pattern of CeSe2. It was derived from a structure optimized by DFT (PBE), using Cu Kα (λ = 1.5418 Å).
Intensities are scaled so that the largest is 100.

Peak list (8 most intense, 2θ = 10–90°, sorted by position)
2θ (°), intensity
14.73, 22
16.84, 58
22.44, 64
33.02, 23
34.34, 23
36.46, 100
38.23, 16
43.84, 15

Unit cell a=8.298 b=8.298 c=8.298 alpha=101.24 beta=101.24 gamma=127.59
Fractional positions:
Ce 0.010 0.108 0.617
Ce 0.491 0.392 0.383
Ce 0.608 0.990 0.099
Ce 0.892 0.509 0.901
Se 0.066 0.247 0.328
Se 0.237 0.566 0.818
Se 0.262 0.934 0.181
Se 0.434 0.252 0.671
Se 0.581 0.763 0.329
Se 0.748 0.419 0.182
Se 0.753 0.081 0.819
Se 0.919 0.738 0.672


The following is a simulated powder XRD pattern of VS2. It was derived from a structure optimized by DFT (PBE), using Cu Kα (λ = 1.5418 Å).
Intensities are scaled so that the largest is 100.

Peak list (8 most intense, 2θ = 10–90°, sorted by position)
2θ (°), intensity
13.77, 100
33.20, 15
35.39, 44
38.80, 46
43.19, 15
48.36, 28
54.17, 12
57.87, 21

Unit cell a=3.187 b=3.187 c=12.864 alpha=90.00 beta=90.00 gamma=120.00
Fractional positions:
V 0.174 0.826 0.500
V 0.826 0.174 0.000
S 0.159 0.841 0.114
S 0.493 0.507 0.886
S 0.507 0.493 0.386
S 0.841 0.159 0.614


The following is a simulated powder XRD pattern of CdSn6Pd8. It was derived from a structure optimized by DFT (PBE), using Cu Kα (λ = 1.5418 Å).
Intensities are scaled so that the largest is 100.

Peak list (8 most intense, 2θ = 10–90°, sorted by position)
2θ (°), intensity
31.39, 65
34.86, 27
40.57, 100
40.88, 35
41.23, 32
46.29, 33
62.50, 32
77.42, 28

Unit cell a=6.782 b=6.782 c=6.782 alpha=82.20 beta=82.20 gamma=82.20
Fractional positions:
Cd 0.000 0.000 0.000
Sn 0.216 0.216 0.587
Sn 0.216 0.587 0.216
Sn 0.413 0.784 0.784
Sn 0.587 0.216 0.216
Sn 0.784 0.413 0.784
Sn 0.784 0.784 0.413
Pd 0.164 0.500 0.836
Pd 0.164 0.836 0.500
Pd 0.200 0.200 0.200
Pd 0.500 0.164 0.836
Pd 0.500 0.836 0.164
Pd 0.800 0.800 0.800
Pd 0.836 0.164 0.500
Pd 0.836 0.500 0.164


The following is a simulated powder XRD pattern of MnGePt4. It was derived from a structure optimized by DFT (PBE), using Cu Kα (λ = 1.5418 Å).
Intensities are scaled so that the largest is 100.

Peak list (8 most intense, 2θ = 10–90°, sorted by position)
2θ (°), intensity
25.04, 32
35.88, 43
38.34, 100
38.97, 98
40.12, 42
41.01, 98
42.46, 48
52.69, 39

Unit cell a=5.130 b=5.267 c=7.603 alpha=110.24 beta=94.12 gamma=90.15
Fractional positions:
Mn 0.250 0.107 0.000
Mn 0.750 0.893 0.000
Ge 0.000 0.000 0.500
Ge 0.500 0.500 0.500
Pt 0.052 0.299 0.323
Pt 0.118 0.702 0.168
Pt 0.383 0.533 0.832
Pt 0.447 0.975 0.676
Pt 0.553 0.025 0.324
Pt 0.617 0.467 0.168
Pt 0.882 0.298 0.832
Pt 0.948 0.701 0.677


Which formula does entry 4 have? CeSe2